Starting from a cell relaxed with PBE, the powder diffractogram of HfNb2Mo2 was calculated for a wavelength of 1.5418 Å.

Peak list (10 most intense, 15 to 90 degrees two-theta, most intense first)
- (1 1 -3), 2.326 Å, intensity 100
- (1 1 2), 2.321 Å, intensity 99
- (0 2 0), 2.344 Å, intensity 52
- (2 0 -1), 1.643 Å, intensity 49
- (0 0 5), 2.302 Å, intensity 47
- (1 3 2), 1.349 Å, intensity 34
- (2 2 -1), 1.346 Å, intensity 18
- (1 1 -8), 1.335 Å, intensity 15
- (1 1 7), 1.332 Å, intensity 15
- (2 2 -6), 1.163 Å, intensity 10

Cell and atoms:
Lattice parameters (Å, degrees): 3.2874 4.6878 11.6328 90.00 98.29 90.00
Atoms (fractional coordinates):
Hf1 0.1468 0.2500 0.2948
Hf2 0.8532 0.7500 0.7052
Nb1 0.0490 0.7500 0.0985
Nb2 0.2427 0.7500 0.4872
Nb3 0.7573 0.2500 0.5128
Nb4 0.9510 0.2500 0.9015
Mo1 0.3511 0.2500 0.7026
Mo2 0.4544 0.7500 0.9071
Mo3 0.5456 0.2500 0.0929
Mo4 0.6489 0.7500 0.2974